Calculated powder XRD pattern of LuCu2Si2 for a wavelength of 1.5418 Å, from a DFT-relaxed cell (PBE, the Materials Project).
Intensities are scaled so that the largest is 1000.

Atomic structure:
a b c (Å): 5.715 5.715 5.715
angles (deg): 139.97 139.97 57.89
Fractional positions:
Lu 0.000 0.000 0.000
Cu 0.250 0.750 0.500
Cu 0.750 0.250 0.500
Si 0.384 0.384 0.000
Si 0.616 0.616 0.000

Peak list (12 most intense, 10 to 80 degrees two-theta, by angle)
Position (°2θ)  I_rel
24.44  476
35.38  477
35.92  178
37.15  1000
46.43  351
51.30  194
53.15  124
59.69  210
60.06  155
65.36  154
71.67  144
79.89  204